(1)
This entry pairs a crystal structure of Sn3Pt2Se3 with its theoretical powder X-ray diffraction pattern. Radiation: Cu Kα. Structure: a structure optimized by DFT (GGA-PBE).
Peak positions follow from Bragg's law for the DFT cell and can differ from measured ones.

Cell and atoms:
Lattice parameters (Å, degrees): 9.281 9.281 9.281 89.93 89.93 89.93
Sites, in units of the cell vectors:
Sn: 0.002 0.147 0.659
Sn: 0.147 0.659 0.002
Sn: 0.158 0.501 0.354
Sn: 0.341 0.998 0.853
Sn: 0.354 0.158 0.501
Sn: 0.499 0.646 0.842
Sn: 0.501 0.354 0.158
Sn: 0.646 0.842 0.499
Sn: 0.659 0.002 0.147
Sn: 0.842 0.499 0.646
Sn: 0.853 0.341 0.998
Sn: 0.998 0.853 0.341
Pt: 0.247 0.747 0.751
Pt: 0.249 0.753 0.253
Pt: 0.250 0.250 0.250
Pt: 0.253 0.249 0.753
Pt: 0.747 0.751 0.247
Pt: 0.750 0.750 0.750
Pt: 0.751 0.247 0.747
Pt: 0.753 0.253 0.249
Se: 0.003 0.152 0.349
Se: 0.151 0.496 0.651
Se: 0.152 0.349 0.003
Se: 0.349 0.003 0.152
Se: 0.349 0.849 0.504
Se: 0.496 0.651 0.151
Se: 0.504 0.349 0.849
Se: 0.651 0.151 0.496
Se: 0.651 0.997 0.848
Se: 0.848 0.651 0.997
Se: 0.849 0.504 0.349
Se: 0.997 0.848 0.651

Top 8 peaks for 10° ≤ 2θ ≤ 90°, by angle:
2θ (°), I/Imax
19.1, 66
27.2, 42
30.5, 92
33.4, 23
36.2, 27
43.6, 100
48.0, 64
50.1, 34

(2)
This entry pairs a crystal structure of VAg2Br5 with its theoretical powder X-ray diffraction pattern. Radiation: Cu Kα. Structure: a structure optimized by DFT (GGA-PBE).
Peak positions follow from Bragg's law for the DFT cell and can differ from measured ones.

Cell and atoms:
Lattice parameters (Å, degrees): 7.305 7.305 6.646 114.87 114.87 71.22
Sites, in units of the cell vectors:
V: 0.000 0.000 0.000
Ag: 0.552 0.904 0.303
Ag: 0.904 0.552 0.303
Br: 0.244 0.244 0.326
Br: 0.281 0.770 0.866
Br: 0.749 0.749 0.656
Br: 0.770 0.281 0.866
Br: 0.933 0.933 0.288

Top 8 peaks for 10° ≤ 2θ ≤ 90°, by angle:
2θ (°), I/Imax
13.6, 58
15.6, 21
16.3, 100
26.6, 37
29.0, 27
31.5, 25
34.4, 28
35.3, 27

(3)
This entry pairs a crystal structure of Al4CuNi15 with its theoretical powder X-ray diffraction pattern. Radiation: Cu Kα. Structure: a structure optimized by DFT (GGA-PBE).
Peak positions follow from Bragg's law for the DFT cell and can differ from measured ones.

Cell and atoms:
Lattice parameters (Å, degrees): 3.556 3.556 17.843 90.00 90.00 90.00
Sites, in units of the cell vectors:
Al: 0.000 0.000 0.100
Al: 0.000 0.000 0.301
Al: 0.000 0.000 0.699
Al: 0.000 0.000 0.900
Cu: 0.000 0.000 0.500
Ni: 0.000 0.500 0.000
Ni: 0.000 0.500 0.201
Ni: 0.000 0.500 0.401
Ni: 0.000 0.500 0.599
Ni: 0.000 0.500 0.799
Ni: 0.500 0.000 0.000
Ni: 0.500 0.000 0.201
Ni: 0.500 0.000 0.401
Ni: 0.500 0.000 0.599
Ni: 0.500 0.000 0.799
Ni: 0.500 0.500 0.101
Ni: 0.500 0.500 0.301
Ni: 0.500 0.500 0.500
Ni: 0.500 0.500 0.699
Ni: 0.500 0.500 0.899

Top 8 peaks for 10° ≤ 2θ ≤ 90°, by angle:
2θ (°), I/Imax
25.0, 6
35.7, 5
44.1, 100
51.2, 16
51.4, 31
58.0, 1
75.5, 18
75.6, 9

> What is the formula in the first record?

Sn3Pt2Se3